[1]
Structure and theoretical powder diffractogram of AsRu (a crystal structure in the Materials Project, relaxed with GGA-PBE; copper Kα).
Kinematic intensities with the Lorentz-polarization factor, no thermal factor.

Largest 8 diffraction maxima, in order of falling intensity, 2θ = 10–90°:
d (Å), 2θ (°), I (rel.)
2.070, 43.74, 100.0
2.642, 33.93, 58.5
2.146, 42.11, 57.6
1.805, 50.56, 45.6
2.152, 41.98, 42.3
2.972, 30.06, 41.3
1.676, 54.76, 27.0
1.157, 83.57, 24.7

Structure:
```
data_AsRu
_chemical_formula_sum 'As4 Ru4'
_cell_length_a 5.7662
_cell_length_b 3.3527
_cell_length_c 6.4264
_cell_angle_alpha 90.00
_cell_angle_beta 90.00
_cell_angle_gamma 90.00
_symmetry_space_group_name_H-M 'P n m a'
_symmetry_Int_Tables_number 62
loop_
_symmetry_equiv_pos_as_xyz
'x,y,z'
'-x,-y,-z'
'-x+1/2,-y,z+1/2'
'x+1/2,y,-z+1/2'
'x+1/2,-y+1/2,-z+1/2'
'-x+1/2,y+1/2,z+1/2'
'-x,y+1/2,-z'
'x,-y+1/2,z'
loop_
_atom_site_label
_atom_site_type_symbol
_atom_site_fract_x
_atom_site_fract_y
_atom_site_fract_z
_atom_site_occupancy
As1 As 0.1964 0.2500 0.0682 1
Ru1 Ru 0.0017 0.2500 0.7037 1
```

=====

[2]
Structure and theoretical powder diffractogram of SrAs2Ru2 (a crystal structure in the Materials Project, relaxed with GGA-PBE; copper Kα).
Kinematic intensities with the Lorentz-polarization factor, no thermal factor.

Largest 8 diffraction maxima, in order of falling intensity, 2θ = 10–90°:
d (Å), 2θ (°), I (rel.)
2.639, 33.97, 100.0
2.814, 31.80, 88.2
2.108, 42.89, 75.6
5.667, 15.64, 56.6
2.054, 44.09, 46.7
1.596, 57.78, 45.2
1.687, 54.37, 37.7
1.491, 62.27, 24.5

Structure:
```
data_SrAs2Ru2
_chemical_formula_sum 'Sr2 As4 Ru4'
_cell_length_a 4.2169
_cell_length_b 4.2169
_cell_length_c 11.3344
_cell_angle_alpha 90.00
_cell_angle_beta 90.00
_cell_angle_gamma 90.00
_symmetry_space_group_name_H-M 'I 4/m m m'
_symmetry_Int_Tables_number 139
_symmetry_space_group_name_Hall '-I 4 2'
loop_
_atom_site_label
_atom_site_type_symbol
_atom_site_fract_x
_atom_site_fract_y
_atom_site_fract_z
_atom_site_occupancy
Sr1 Sr 0.0000 0.0000 0.0000 1
As1 As 0.0000 0.0000 0.3586 1
Ru1 Ru 0.0000 0.5000 0.2500 1
```

=====

[3]
Structure and theoretical powder diffractogram of TeAsRu (a crystal structure in the Materials Project, relaxed with GGA-PBE; copper Kα).
Kinematic intensities with the Lorentz-polarization factor, no thermal factor.

Largest 8 diffraction maxima, in order of falling intensity, 2θ = 10–90°:
d (Å), 2θ (°), I (rel.)
2.743, 32.64, 100.0
2.679, 33.45, 53.1
1.820, 50.11, 50.1
2.695, 33.25, 48.8
2.030, 44.64, 48.2
2.953, 30.26, 43.8
2.044, 44.32, 43.3
2.975, 30.04, 34.9

Structure:
```
data_TeAsRu
_chemical_formula_sum 'Te4 As4 Ru4'
_cell_length_a 6.4436
_cell_length_b 6.3651
_cell_length_c 6.4901
_cell_angle_alpha 90.00
_cell_angle_beta 113.56
_cell_angle_gamma 90.00
_symmetry_space_group_name_H-M 'P 1 21/c 1'
_symmetry_Int_Tables_number 14
loop_
_symmetry_equiv_pos_as_xyz
'x,y,z'
'-x,-y,-z'
'-x,y+1/2,-z+1/2'
'x,-y+1/2,z+1/2'
loop_
_atom_site_label
_atom_site_type_symbol
_atom_site_fract_x
_atom_site_fract_y
_atom_site_fract_z
_atom_site_occupancy
Te1 Te 0.1554 0.1256 0.3672 1
As1 As 0.3542 0.6445 0.6707 1
Ru1 Ru 0.2839 0.5084 0.2947 1
```